This entry pairs a crystal structure of KRb2MoF6 with its computed powder diffraction line list. Radiation: a wavelength of 1.5418 Å. Structure: a structure optimized by DFT (PBE+U).

Peak list (12 most intense, 2θ from 10° to 90°, low angle first)
| two_theta | I (rel.) |
| --- | --- |
| 14.26 | 86 |
| 23.22 | 44 |
| 28.03 | 100 |
| 28.92 | 18 |
| 30.98 | 22 |
| 31.58 | 39 |
| 36.71 | 47 |
| 42.26 | 27 |
| 49.59 | 20 |
| 51.83 | 20 |
| 57.93 | 27 |
| 59.96 | 21 |

Atomic structure:
```
KRb2MoF6
1.0
3.1838 1.8381 12.4210
-3.1838 1.8381 12.4210
0.0000 -3.6763 12.4210
K Rb Mo F
2 4 2 12
direct
0.0897 0.0897 0.0897
0.9103 0.9103 0.9103
0.1949 0.1949 0.1949
0.3572 0.3572 0.3572
0.6428 0.6428 0.6428
0.8051 0.8051 0.8051
0.0000 0.0000 0.0000
0.5000 0.5000 0.5000
0.1210 0.1210 0.6592
0.1210 0.6592 0.1210
0.2136 0.6905 0.6905
0.3095 0.3095 0.7864
0.3095 0.7864 0.3095
0.3408 0.8790 0.8790
0.6592 0.1210 0.1210
0.6905 0.2136 0.6905
0.6905 0.6905 0.2136
0.7864 0.3095 0.3095
0.8790 0.3408 0.8790
0.8790 0.8790 0.3408
```